Theoretical powder X-ray diffraction pattern
Compound: Na2IrAuF6
Radiation: a wavelength of 1.5418 Å
Structure: a PBE-relaxed structure
Peak positions follow from Bragg's law for the DFT cell and can differ from measured ones.

Most intense lines, 5 to 70 degrees two-theta, low angle first:
20.13 deg, intensity 1000; 28.62 deg, intensity 938; 40.92 deg, intensity 343; 46.01 deg, intensity 461; 50.70 deg, intensity 395; 59.26 deg, intensity 216; 63.25 deg, intensity 223; 67.11 deg, intensity 182

Crystal structure
abc: 6.2377 6.2377 6.2377
angles: 60.00 60.00 60.00
Element x y z (fractional)
Na1 0.2500 0.2500 0.2500
Na2 0.7500 0.7500 0.7500
Ir1 0.0000 0.0000 0.0000
Au1 0.5000 0.5000 0.5000
F1 0.2312 0.2312 0.7688
F2 0.2312 0.7688 0.2312
F3 0.2312 0.7688 0.7688
F4 0.7688 0.2312 0.2312
F5 0.7688 0.2312 0.7688
F6 0.7688 0.7688 0.2312

Theoretical powder X-ray diffraction pattern
Compound: ZnIn3Au12
Radiation: a wavelength of 1.5418 Å
Structure: a PBE-relaxed structure
Peak positions follow from Bragg's law for the DFT cell and can differ from measured ones.

Most intense lines, 5 to 70 degrees two-theta, low angle first:
33.54 deg, intensity 127; 34.90 deg, intensity 248; 37.74 deg, intensity 393; 38.63 deg, intensity 563; 39.84 deg, intensity 1000; 52.34 deg, intensity 158; 60.85 deg, intensity 197; 69.54 deg, intensity 196

Crystal structure
abc: 4.7676 11.7307 5.3436
angles: 90.00 90.00 90.00
Element x y z (fractional)
Zn1 0.0000 0.0000 0.0000
In1 0.0000 0.5000 0.0023
In2 0.5000 0.2486 0.3346
In3 0.5000 0.7514 0.3346
Au1 0.0000 0.1226 0.5032
Au2 0.0000 0.2439 0.0019
Au3 0.0000 0.3728 0.5039
Au4 0.0000 0.6272 0.5039
Au5 0.0000 0.7561 0.0019
Au6 0.0000 0.8774 0.5032
Au7 0.5000 0.0000 0.3230
Au8 0.5000 0.1203 0.8386
Au9 0.5000 0.3743 0.8333
Au10 0.5000 0.5000 0.3331
Au11 0.5000 0.6257 0.8333
Au12 0.5000 0.8797 0.8386